Diffraction record for Li4Co3O7. The PXRD pattern is simulated, not measured: it uses a crystal structure in the Materials Project, relaxed with GGA+U and Cu Kα X-rays.
Kinematic intensities with the Lorentz-polarization factor, no thermal factor.

The 10 most intense peaks (10° ≤ 2θ ≤ 90°), by angle:
2θ (°)  I (rel.)
10.25  9
17.99  100
35.83  16
36.22  28
43.01  29
43.59  56
47.30  10
57.03  9
62.15  16
63.65  16

Cell and atoms:
```
Li4Co3O7
1.0
2.540 -1.450 0.000
2.540 1.450 0.000
-2.025 0.000 34.512
Li Co O
8 6 14
Cartesian
0.000 0.000 0.000
-0.069 0.000 7.399
-0.214 0.000 22.187
1.658 0.000 2.423
1.527 0.000 17.256
1.396 0.000 32.089
3.268 0.000 12.325
3.123 0.000 27.113
-0.142 0.000 14.791
-0.282 0.000 29.565
1.598 0.000 9.862
1.456 0.000 24.650
3.336 0.000 4.947
3.196 0.000 19.721
-0.042 0.000 3.852
-0.121 0.000 10.994
-0.190 0.000 18.591
-0.263 0.000 25.778
-0.308 0.000 33.252
1.635 0.000 6.092
1.550 0.000 13.660
1.504 0.000 20.852
1.419 0.000 28.420
3.362 0.000 1.260
3.317 0.000 8.734
3.243 0.000 15.921
3.174 0.000 23.517
3.095 0.000 30.659
```